# 1
Calculated powder diffraction line list of RbCd13 for Cu Kα, from a PBE-relaxed structure.

Largest 10 diffraction maxima, by angle, 10° ≤ 2θ ≤ 80°:
2theta  I_rel
12.5  23
28.2  16
31.0  52
37.6  100
38.2  43
59.5  19
64.5  10
71.5  15
77.2  10
78.9  9

Structure:
Cell: 10.0049 10.0049 10.0049 Å, 60.00 60.00 60.00°
Positions (direct):
Rb 0.2500 0.2500 0.2500
Rb 0.7500 0.7500 0.7500
Cd 0.0000 0.0000 0.0000
Cd 0.0590 0.3012 0.6988
Cd 0.0590 0.6988 0.9410
Cd 0.0590 0.9410 0.3012
Cd 0.1988 0.4410 0.8012
Cd 0.1988 0.5590 0.4410
Cd 0.1988 0.8012 0.5590
Cd 0.3012 0.0590 0.9410
Cd 0.3012 0.6988 0.0590
Cd 0.3012 0.9410 0.6988
Cd 0.4410 0.1988 0.5590
Cd 0.4410 0.5590 0.8012
Cd 0.4410 0.8012 0.1988
Cd 0.5000 0.5000 0.5000
Cd 0.5590 0.1988 0.8012
Cd 0.5590 0.4410 0.1988
Cd 0.5590 0.8012 0.4410
Cd 0.6988 0.0590 0.3012
Cd 0.6988 0.3012 0.9410
Cd 0.6988 0.9410 0.0590
Cd 0.8012 0.1988 0.4410
Cd 0.8012 0.4410 0.5590
Cd 0.8012 0.5590 0.1988
Cd 0.9410 0.0590 0.6988
Cd 0.9410 0.3012 0.0590
Cd 0.9410 0.6988 0.3012

---

# 2
Calculated powder diffraction line list of Rb3Cd for Cu Kα, from a PBE-relaxed structure.

Largest 10 diffraction maxima, by angle, 10° ≤ 2θ ≤ 80°:
2theta  I_rel
15.3  1
25.2  100
29.6  1
35.9  20
44.4  42
51.7  13
58.3  18
64.6  5
70.4  21
76.1  2

Structure:
Cell: 10.0020 10.0020 10.0020 Å, 90.00 90.00 90.00°
Positions (direct):
Rb 0.0000 0.0000 0.0000
Rb 0.0000 0.5000 0.5000
Rb 0.2500 0.2500 0.2500
Rb 0.2500 0.2500 0.7500
Rb 0.2500 0.7500 0.2500
Rb 0.2500 0.7500 0.7500
Rb 0.5000 0.0000 0.5000
Rb 0.5000 0.5000 0.0000
Rb 0.7500 0.2500 0.2500
Rb 0.7500 0.2500 0.7500
Rb 0.7500 0.7500 0.2500
Rb 0.7500 0.7500 0.7500
Cd 0.0000 0.0000 0.5000
Cd 0.0000 0.5000 0.0000
Cd 0.5000 0.0000 0.0000
Cd 0.5000 0.5000 0.5000

---

# 3
Calculated powder diffraction line list of Rb2Cd3Se4 for Cu Kα, from a PBE-relaxed structure.

Largest 10 diffraction maxima, by angle, 10° ≤ 2θ ≤ 80°:
2theta  I_rel
11.8  66
27.0  21
27.1  100
27.7  18
28.3  51
29.6  47
31.3  20
36.3  46
39.7  21
41.7  29

Structure:
Cell: 14.9572 11.2433 6.9607 Å, 90.00 90.00 90.00°
Positions (direct):
Rb 0.0000 0.0000 0.0000
Rb 0.0000 0.5000 0.0000
Rb 0.0378 0.2500 0.4801
Rb 0.4622 0.7500 0.9801
Rb 0.5000 0.0000 0.5000
Rb 0.5000 0.5000 0.5000
Rb 0.5378 0.2500 0.0199
Rb 0.9622 0.7500 0.5199
Cd 0.2068 0.7500 0.2533
Cd 0.2450 0.0954 0.1852
Cd 0.2450 0.4046 0.1852
Cd 0.2550 0.5954 0.6852
Cd 0.2550 0.9046 0.6852
Cd 0.2932 0.2500 0.7533
Cd 0.7068 0.7500 0.2467
Cd 0.7450 0.0954 0.3148
Cd 0.7450 0.4046 0.3148
Cd 0.7550 0.5954 0.8148
Cd 0.7550 0.9046 0.8148
Cd 0.7932 0.2500 0.7467
Se 0.1391 0.5384 0.4026
Se 0.1391 0.9616 0.4026
Se 0.1399 0.2500 0.9621
Se 0.1533 0.7500 0.8914
Se 0.3467 0.2500 0.3913
Se 0.3601 0.7500 0.4621
Se 0.3609 0.0384 0.9026
Se 0.3609 0.4616 0.9026
Se 0.6391 0.5384 0.0974
Se 0.6391 0.9616 0.0974
Se 0.6399 0.2500 0.5379
Se 0.6533 0.7500 0.6086
Se 0.8467 0.2500 0.1086
Se 0.8601 0.7500 0.0379
Se 0.8609 0.0384 0.5974
Se 0.8609 0.4616 0.5974